No. 1
# TbNd2Y4Sc
Simulated X-ray diffraction stick pattern, Cu Kα. Input: the PBE geometry in Alexandria.

Atomic structure:
Lattice parameters (Å, degrees): 5.043 5.043 10.036 90.00 90.00 90.00
Fractional coordinates of all 8 atoms:
Tb 0.000 0.000 0.000
Nd 0.000 0.000 0.500
Nd 0.500 0.500 0.000
Y 0.000 0.500 0.255
Y 0.000 0.500 0.745
Y 0.500 0.000 0.255
Y 0.500 0.000 0.745
Sc 0.500 0.500 0.500

The 10 most intense peaks (2θ = 10–80°), low angle first:
(hkl)  d/Å  Rel. int.
0 0 2  5.034  5
1 1 0  3.561  5
1 1 2  2.907  100
2 0 0  2.522  34
0 0 4  2.509  16
2 2 0  1.783  12
2 0 4  1.779  23
3 1 2  1.520  27
1 1 6  1.514  13
2 2 4  1.453  12



No. 2
# CaTb7Er2
Simulated X-ray diffraction stick pattern, Cu Kα. Input: the PBE geometry in Alexandria.

Atomic structure:
Lattice parameters (Å, degrees): 6.173 6.188 9.466 70.92 71.12 80.30
Fractional coordinates of all 10 atoms:
Ca 0.000 0.000 0.000
Tb 0.204 0.000 0.594
Tb 0.312 0.499 0.897
Tb 0.395 0.000 0.206
Tb 0.500 0.500 0.500
Tb 0.605 0.000 0.794
Tb 0.688 0.501 0.103
Tb 0.796 0.000 0.406
Er 0.100 0.492 0.304
Er 0.900 0.508 0.696

The 10 most intense peaks (2θ = 10–80°), low angle first:
(hkl)  d/Å  Rel. int.
1 0 3  2.919  100
2 1 1  2.913  33
1 1 -2  2.534  23
1 2 3  2.527  23
2 -1 1  2.518  22
2 3 1  1.786  32
0 1 -5  1.528  9
1 3 -2  1.526  14
3 3 4  1.523  14
3 -1 4  1.520  19